Simulated X-ray powder pattern
Compound: TaO
Radiation: a wavelength of 1.5418 Å
Structure: a PBE-relaxed structure
No peak broadening, texture or thermal motion is included.

Structure:
Unit cell a=3.187 b=3.187 c=3.187 alpha=60.00 beta=60.00 gamma=60.00
Positions (direct):
Ta 0.000 0.000 0.000
O 0.500 0.500 0.500

Largest 5 diffraction maxima, sorted by position, 2θ = 10–80°:
| 2θ/deg | I/Imax |
| --- | --- |
| 34.5 | 100 |
| 40.0 | 72 |
| 57.9 | 48 |
| 69.1 | 43 |
| 72.7 | 16 |